1.
# NaGe3Pt5
Calculated X-ray powder pattern, a wavelength of 1.5418 Å. Input: a GGA-PBE-relaxed structure.

Atomic structure:
```
data_NaGe3Pt5
_cell_length_a 4.0500
_cell_length_b 13.1204
_cell_length_c 12.6506
_cell_angle_alpha 90.00
_cell_angle_beta 90.00
_cell_angle_gamma 90.00
_space_group_name_H-M_alt 'C m c m'
_space_group_IT_number 63
_space_group_name_Hall '-C 2c 2'
loop_
_atom_site_label
_atom_site_fract_x
_atom_site_fract_y
_atom_site_fract_z
Na1 0.0000 0.1951 0.2500
Ge1 0.0000 0.1051 0.7500
Ge2 0.0000 0.3852 0.5562
Pt1 0.0000 0.0000 0.0000
Pt2 0.0000 0.2036 0.5693
Pt3 0.0000 0.4381 0.1389
```

Principal peaks in the range 15 to 90 degrees two-theta, sorted by position:
2θ (°)	I (rel.)	h k l
15.21	100.0	0 2 1
31.37	47.3	1 1 3
36.70	80.9	1 1 4
37.01	38.1	1 3 3
40.98	61.3	1 5 0
42.70	53.8	1 1 5
43.51	52.1	1 5 2
44.75	54.9	2 0 0
45.22	54.7	0 4 5
65.51	37.3	2 4 5

2.
# AcPmEr
Calculated X-ray powder pattern, a wavelength of 1.5418 Å. Input: a GGA-PBE-relaxed structure.

Atomic structure:
```
data_AcPmEr
_cell_length_a 3.6208
_cell_length_b 5.9775
_cell_length_c 6.2407
_cell_angle_alpha 61.42
_cell_angle_beta 73.20
_cell_angle_gamma 89.99
_space_group_name_H-M_alt 'P 1'
_space_group_IT_number 1
loop_
_space_group_symop_operation_xyz
'x,y,z'
loop_
_atom_site_label
_atom_site_fract_x
_atom_site_fract_y
_atom_site_fract_z
Ac1 0.0000 0.0000 0.0000
Pm1 0.3736 0.3731 0.2561
Er1 0.1865 0.6851 0.6293
```

Principal peaks in the range 15 to 90 degrees two-theta, sorted by position:
2θ (°)	I (rel.)	h k l
26.07	35.3	1 0 1
28.83	11.1	1 1 1
29.90	100.0	0 2 1
33.73	65.2	1 1 0
40.08	22.9	1 2 2
50.81	14.4	1 0 -2
53.08	18.2	0 3 3
55.56	16.0	1 3 1
59.72	28.8	2 2 2
60.08	17.5	1 2 -1

3.
# Nd2AuO4
Calculated X-ray powder pattern, a wavelength of 1.5418 Å. Input: a GGA-PBE-relaxed structure.

Atomic structure:
```
data_Nd2AuO4
_cell_length_a 12.5104
_cell_length_b 5.8968
_cell_length_c 5.8911
_cell_angle_alpha 90.00
_cell_angle_beta 90.00
_cell_angle_gamma 90.00
_space_group_name_H-M_alt 'C m c e'
_space_group_IT_number 64
_space_group_name_Hall '-C 2ac 2'
loop_
_atom_site_label
_atom_site_fract_x
_atom_site_fract_y
_atom_site_fract_z
Nd1 0.1583 0.0000 0.0000
Au1 0.0000 0.0000 0.5000
O1 0.0000 0.1806 0.1815
O2 0.2500 0.2387 0.7500
```

Principal peaks in the range 15 to 90 degrees two-theta, sorted by position:
2θ (°)	I (rel.)	h k l
30.32	100.0	3 1 1
33.62	2.1	2 2 0
42.12	2.1	5 1 1
43.42	23.2	0 2 2
53.87	45.4	3 3 1
62.10	1.5	5 3 1
63.08	13.3	0 0 4
71.58	17.1	0 4 2
79.68	4.1	6 4 0
87.58	22.8	6 4 2

4.
# Sm3Er6Tm
Calculated X-ray powder pattern, a wavelength of 1.5418 Å. Input: a GGA-PBE-relaxed structure.

Atomic structure:
```
data_Sm3Er6Tm
_cell_length_a 6.4839
_cell_length_b 6.4960
_cell_length_c 9.4748
_cell_angle_alpha 89.85
_cell_angle_beta 70.10
_cell_angle_gamma 60.06
_space_group_name_H-M_alt 'P -1'
_space_group_IT_number 2
loop_
_space_group_symop_operation_xyz
'x,y,z'
'-x,-y,-z'
loop_
_atom_site_label
_atom_site_fract_x
_atom_site_fract_y
_atom_site_fract_z
Sm1 0.0000 0.0000 0.0000
Sm2 0.3004 0.5587 0.6893
Er1 0.1260 0.8646 0.3140
Er2 0.3032 0.3490 0.0514
Er3 0.4495 0.9909 0.6861
Tm1 0.0000 0.5000 0.5000
```

Principal peaks in the range 15 to 90 degrees two-theta, sorted by position:
2θ (°)	I (rel.)	h k l
28.73	28.7	1 0 3
29.34	79.1	2 1 0
29.40	37.3	1 -1 2
30.76	43.5	0 0 3
31.63	31.2	1 1 3
32.02	78.3	2 2 1
32.62	34.7	2 0 2
34.34	49.7	-1 1 1
34.50	100.0	2 1 3
48.58	23.7	3 3 1

5.
# NaSmTh2
Calculated X-ray powder pattern, a wavelength of 1.5418 Å. Input: a GGA-PBE-relaxed structure.

Atomic structure:
```
data_NaSmTh2
_cell_length_a 3.4751
_cell_length_b 3.4751
_cell_length_c 39.4616
_cell_angle_alpha 90.00
_cell_angle_beta 90.00
_cell_angle_gamma 120.00
_space_group_name_H-M_alt 'R -3 m'
_space_group_IT_number 166
_space_group_name_Hall '-R 3 2"'
loop_
_atom_site_label
_atom_site_fract_x
_atom_site_fract_y
_atom_site_fract_z
Na1 0.0000 0.0000 0.0000
Sm1 0.0000 0.0000 0.5000
Th1 0.0000 0.0000 0.0905
```

Principal peaks in the range 15 to 90 degrees two-theta, sorted by position:
2θ (°)	I (rel.)	h k l
27.12	51.1	0 0 12
29.77	24.4	1 0 1
30.04	50.1	0 1 2
31.82	100.0	0 1 5
33.76	50.5	1 0 7
37.59	62.5	1 0 10
49.60	30.5	0 1 17
52.68	31.3	1 1 0
60.04	21.2	1 0 22
60.24	33.8	1 1 12

6.
# SrIn2N2
Calculated X-ray powder pattern, a wavelength of 1.5418 Å. Input: a GGA-PBE-relaxed structure.

Atomic structure:
```
data_SrIn2N2
_cell_length_a 3.5283
_cell_length_b 3.5283
_cell_length_c 24.3676
_cell_angle_alpha 90.00
_cell_angle_beta 90.00
_cell_angle_gamma 120.00
_space_group_name_H-M_alt 'R -3 m'
_space_group_IT_number 166
_space_group_name_Hall '-R 3 2"'
loop_
_atom_site_label
_atom_site_fract_x
_atom_site_fract_y
_atom_site_fract_z
Sr1 0.0000 0.0000 0.0000
In1 0.0000 0.0000 0.2198
N1 0.0000 0.0000 0.4025
```

Principal peaks in the range 15 to 90 degrees two-theta, sorted by position:
2θ (°)	I (rel.)	h k l
29.46	19.6	1 0 1
30.15	22.1	0 1 2
32.79	69.6	1 0 4
33.09	36.5	0 0 9
34.65	100.0	0 1 5
47.74	14.8	1 0 10
51.82	39.4	1 1 0
61.29	15.6	0 1 14
62.88	33.9	1 1 9
63.85	15.5	2 0 5

7.
# Hg3H2Pd2
Calculated X-ray powder pattern, a wavelength of 1.5418 Å. Input: a GGA-PBE-relaxed structure.

Atomic structure:
```
data_Hg3H2Pd2
_cell_length_a 2.9489
_cell_length_b 4.7600
_cell_length_c 8.9544
_cell_angle_alpha 85.73
_cell_angle_beta 89.47
_cell_angle_gamma 71.96
_space_group_name_H-M_alt 'P -1'
_space_group_IT_number 2
loop_
_space_group_symop_operation_xyz
'x,y,z'
'-x,-y,-z'
loop_
_atom_site_label
_atom_site_fract_x
_atom_site_fract_y
_atom_site_fract_z
Hg1 0.0000 0.0000 0.0000
Hg2 0.0752 0.8502 0.3672
H1 0.3132 0.3622 0.2273
Pd1 0.2626 0.4818 0.8475
```

Principal peaks in the range 15 to 90 degrees two-theta, sorted by position:
2θ (°)	I (rel.)	h k l
19.67	24.3	0 1 0
22.74	45.8	0 1 -1
29.18	64.9	0 1 -2
31.93	100.0	1 1 0
34.84	86.2	0 1 3
38.15	32.6	1 0 2
38.47	31.4	1 1 -2
40.47	49.2	0 2 1
43.60	57.6	1 2 1
43.69	30.4	-1 1 1

8.
# Pm7NdEr12
Calculated X-ray powder pattern, a wavelength of 1.5418 Å. Input: a GGA-PBE-relaxed structure.

Atomic structure:
```
data_Pm7NdEr12
_cell_length_a 12.8503
_cell_length_b 12.8503
_cell_length_c 13.6645
_cell_angle_alpha 90.00
_cell_angle_beta 90.00
_cell_angle_gamma 120.00
_space_group_name_H-M_alt 'R -3'
_space_group_IT_number 148
_space_group_name_Hall '-R 3'
loop_
_atom_site_label
_atom_site_fract_x
_atom_site_fract_y
_atom_site_fract_z
Pm1 0.0000 0.0000 0.0000
Pm2 0.0679 0.2021 0.3458
Nd1 0.0000 0.0000 0.5000
Er1 0.0028 0.5677 0.7496
Er2 0.0674 0.8654 0.8502
```

Principal peaks in the range 15 to 90 degrees two-theta, sorted by position:
2θ (°)	I (rel.)	h k l
23.96	15.9	2 -1 3
27.31	21.1	1 0 4
29.67	71.3	1 3 1
30.71	45.5	0 2 4
31.81	100.0	4 -1 2
39.33	32.2	1 2 5
42.15	35.3	5 -1 3
46.84	15.1	3 0 6
51.27	14.9	5 2 0
55.35	19.2	2 5 3

9.
# Mg3Sn3Ir2
Calculated X-ray powder pattern, a wavelength of 1.5418 Å. Input: a GGA-PBE-relaxed structure.

Atomic structure:
```
data_Mg3Sn3Ir2
_cell_length_a 7.4481
_cell_length_b 16.7226
_cell_length_c 5.4255
_cell_angle_alpha 90.00
_cell_angle_beta 90.00
_cell_angle_gamma 90.00
_space_group_name_H-M_alt 'P n m a'
_space_group_IT_number 62
loop_
_space_group_symop_operation_xyz
'x,y,z'
'-x,-y,-z'
'-x+1/2,-y,z+1/2'
'x+1/2,y,-z+1/2'
'x+1/2,-y+1/2,-z+1/2'
'-x+1/2,y+1/2,z+1/2'
'-x,y+1/2,-z'
'x,-y+1/2,z'
loop_
_atom_site_label
_atom_site_fract_x
_atom_site_fract_y
_atom_site_fract_z
Mg1 0.0235 0.1214 0.0804
Mg2 0.1584 0.2500 0.6670
Sn1 0.1742 0.7500 0.6688
Sn2 0.1832 0.0360 0.5889
Ir1 0.1232 0.6162 0.4156
```

Principal peaks in the range 15 to 90 degrees two-theta, sorted by position:
2θ (°)	I (rel.)	h k l
20.25	100.0	1 0 1
20.94	48.5	1 1 1
22.88	79.3	0 3 1
24.49	51.9	2 1 0
36.30	64.8	2 4 1
38.85	41.5	1 3 2
39.93	54.6	3 0 1
41.49	77.3	1 4 2
43.12	62.2	1 7 1
45.09	48.5	2 7 0

10.
# BaPrHg17
Calculated X-ray powder pattern, a wavelength of 1.5418 Å. Input: a GGA-PBE-relaxed structure.

Atomic structure:
```
data_BaPrHg17
_cell_length_a 10.1001
_cell_length_b 10.1001
_cell_length_c 17.7160
_cell_angle_alpha 90.00
_cell_angle_beta 90.00
_cell_angle_gamma 120.00
_space_group_name_H-M_alt 'R 3 m'
_space_group_IT_number 160
_space_group_name_Hall 'R 3 -2"'
loop_
_atom_site_label
_atom_site_fract_x
_atom_site_fract_y
_atom_site_fract_z
Ba1 0.0000 0.0000 0.0000
Pr1 0.0000 0.0000 0.3194
Hg1 0.0000 0.0000 0.5270
Hg2 0.0000 0.0000 0.6979
Hg3 0.0310 0.3611 0.3087
Hg4 0.1867 0.3734 0.1093
Hg5 0.2127 0.4255 0.4912
Hg6 0.2130 0.4261 0.8401
```

Principal peaks in the range 15 to 90 degrees two-theta, sorted by position:
2θ (°)	I (rel.)	h k l
28.69	17.7	0 2 4
30.27	22.4	0 0 6
30.66	31.2	3 0 0
32.52	19.2	2 0 5
34.30	100.0	0 3 3
35.21	13.7	1 1 6
38.79	12.3	2 2 3
43.63	12.1	3 0 6
54.51	17.4	3 3 0
63.63	12.8	3 3 6

11.
# Ba2Zn15Ga2
Calculated X-ray powder pattern, a wavelength of 1.5418 Å. Input: a GGA-PBE-relaxed structure.

Atomic structure:
```
data_Ba2Zn15Ga2
_cell_length_a 9.4373
_cell_length_b 9.4373
_cell_length_c 13.5341
_cell_angle_alpha 90.00
_cell_angle_beta 90.00
_cell_angle_gamma 120.00
_space_group_name_H-M_alt 'R -3 m'
_space_group_IT_number 166
_space_group_name_Hall '-R 3 2"'
loop_
_atom_site_label
_atom_site_fract_x
_atom_site_fract_y
_atom_site_fract_z
Ba1 0.0000 0.0000 0.1629
Zn1 0.0000 0.2922 0.5000
Zn2 0.0000 0.5000 0.0000
Zn3 0.0054 0.5027 0.6575
Ga1 0.0000 0.0000 0.4029
```

Principal peaks in the range 15 to 90 degrees two-theta, sorted by position:
2θ (°)	I (rel.)	h k l
27.35	23.2	1 1 3
32.88	37.2	3 0 0
34.41	22.4	0 2 4
38.14	64.4	2 2 0
38.61	100.0	0 3 3
39.96	50.3	0 0 6
43.28	40.4	2 2 3
56.44	17.2	2 2 6
68.94	19.7	6 0 0
71.68	20.8	0 3 9

12.
# PrZn2CdPt2
Calculated X-ray powder pattern, a wavelength of 1.5418 Å. Input: a GGA-PBE-relaxed structure.

Atomic structure:
```
data_PrZn2CdPt2
_cell_length_a 4.4713
_cell_length_b 4.4713
_cell_length_c 6.7843
_cell_angle_alpha 90.00
_cell_angle_beta 90.00
_cell_angle_gamma 120.00
_space_group_name_H-M_alt 'P -3 m 1'
_space_group_IT_number 164
_space_group_name_Hall '-P 3 2"'
loop_
_atom_site_label
_atom_site_fract_x
_atom_site_fract_y
_atom_site_fract_z
Pr1 0.0000 0.0000 0.0000
Zn1 0.3333 0.6667 0.3043
Cd1 0.0000 0.0000 0.5000
Pt1 0.3333 0.6667 0.7200
```

Principal peaks in the range 15 to 90 degrees two-theta, sorted by position:
2θ (°)	I (rel.)	h k l
26.50	43.2	1 0 1
35.17	100.0	0 1 2
40.34	86.6	1 1 0
46.50	12.4	1 0 3
54.58	28.1	2 0 2
58.01	12.3	1 1 3
69.57	17.9	1 1 4
70.01	26.4	1 2 2
73.35	14.6	3 0 0
87.21	9.5	2 2 0

13.
# NdSc3Sn3
Calculated X-ray powder pattern, a wavelength of 1.5418 Å. Input: a GGA-PBE-relaxed structure.

Atomic structure:
```
data_NdSc3Sn3
_cell_length_a 8.8571
_cell_length_b 8.8571
_cell_length_c 5.1699
_cell_angle_alpha 90.00
_cell_angle_beta 90.00
_cell_angle_gamma 120.00
_space_group_name_H-M_alt 'P 63/m'
_space_group_IT_number 176
_space_group_name_Hall '-P 6c'
loop_
_atom_site_label
_atom_site_fract_x
_atom_site_fract_y
_atom_site_fract_z
Nd1 0.3333 0.6667 0.2500
Sc1 0.0081 0.2297 0.2500
Sn1 0.0722 0.4372 0.7500
```

Principal peaks in the range 15 to 90 degrees two-theta, sorted by position:
2θ (°)	I (rel.)	h k l
26.50	17.8	1 1 1
28.99	20.5	2 0 1
30.84	25.8	2 1 0
34.70	28.1	0 0 2
35.50	100.0	2 1 1
47.10	16.0	2 1 2
54.85	15.0	1 4 0
62.72	19.0	2 1 3
66.56	16.7	1 4 2
67.05	12.4	4 2 1